1.
Diffraction record for Ca2FeP3H4O13. The PXRD pattern is theoretical, not measured: it uses a GGA+U-relaxed structure and Cu Kα, 1.54184 Å.
Intensities are scaled so that the largest is 1000.

Top 6 peaks for 10° ≤ 2θ ≤ 90°, sorted by position:
hkl 1 1 -1, 14.0 deg, I 1000
hkl 1 3 1, 25.9 deg, I 477
hkl 1 3 -2, 26.1 deg, I 914
hkl 0 4 2, 31.0 deg, I 773
hkl 1 3 2, 33.5 deg, I 343
hkl 3 1 -1, 36.3 deg, I 247

Structural model:
Cell lengths 7.581, 15.769, 9.259 Å; angles 90.00, 113.60, 90.00 degrees
Space group C2/c (No. 15)
Inequivalent atoms, fractional coordinates:
Ca1 0.230 0.009 0.438 [8 per cell]
Fe1 0.250 0.250 0.500 [4 per cell]
P1 0.000 0.397 0.250 [4 per cell]
P2 0.167 0.152 0.151 [8 per cell]
H1 0.079 0.133 0.712 [8 per cell]
H2 0.115 0.304 0.944 [8 per cell]
O1 0.000 0.097 0.750 [4 per cell]
O2 0.035 0.224 0.053 [8 per cell]
O3 0.037 0.453 0.129 [8 per cell]
O4 0.083 0.061 0.119 [8 per cell]
O5 0.163 0.355 0.908 [8 per cell]
O6 0.186 0.344 0.341 [8 per cell]
O7 0.247 0.166 0.331 [8 per cell]

---

2.
Diffraction record for Ca2FeP2H8O12. The PXRD pattern is theoretical, not measured: it uses a GGA+U-relaxed structure and Cu Kα, 1.54184 Å.
Intensities are scaled so that the largest is 1000.

Top 6 peaks for 10° ≤ 2θ ≤ 90°, sorted by position:
hkl 0 1 -1, 13.7 deg, I 440
hkl 1 0 2, 23.5 deg, I 659
hkl 1 1 1, 26.1 deg, I 443
hkl 0 2 0, 27.2 deg, I 439
hkl 1 -2 0, 27.9 deg, I 857
hkl 1 0 -4, 30.8 deg, I 1000

Structural model:
Cell lengths 5.990, 6.910, 12.499 Å; angles 102.00, 98.56, 101.80 degrees
Space group P-1 (No. 2)
Inequivalent atoms, fractional coordinates:
Ca1 0.207 0.130 0.420 [2 per cell]
Ca2 0.207 0.630 0.920 [2 per cell]
Fe1 0.500 0.250 0.750 [2 per cell]
P1 0.273 0.183 0.966 [2 per cell]
P2 0.273 0.683 0.466 [2 per cell]
H1 0.126 0.361 0.667 [2 per cell]
H2 0.126 0.861 0.168 [2 per cell]
H3 0.179 0.454 0.277 [2 per cell]
H4 0.179 0.954 0.777 [2 per cell]
H5 0.265 0.372 0.161 [2 per cell]
H6 0.265 0.872 0.661 [2 per cell]
H7 0.320 0.055 0.178 [2 per cell]
H8 0.320 0.555 0.678 [2 per cell]
O1 0.074 0.298 0.951 [2 per cell]
O2 0.074 0.798 0.451 [2 per cell]
O3 0.182 0.456 0.405 [2 per cell]
O4 0.182 0.956 0.905 [2 per cell]
O5 0.190 0.479 0.200 [2 per cell]
O6 0.190 0.979 0.700 [2 per cell]
O7 0.262 0.458 0.723 [2 per cell]
O8 0.262 0.958 0.223 [2 per cell]
O9 0.380 0.216 0.092 [2 per cell]
O10 0.380 0.716 0.592 [2 per cell]
O11 0.478 0.288 0.916 [2 per cell]
O12 0.478 0.788 0.416 [2 per cell]

---

3.
Diffraction record for Ca2Fe2Si5HO15. The PXRD pattern is theoretical, not measured: it uses a GGA+U-relaxed structure and Cu Kα, 1.54184 Å.
Intensities are scaled so that the largest is 1000.

Top 6 peaks for 10° ≤ 2θ ≤ 90°, sorted by position:
hkl 2 -1 0, 28.2 deg, I 636
hkl 1 2 -2, 29.2 deg, I 508
hkl -2 1 1, 29.7 deg, I 418
hkl 2 1 -1, 29.8 deg, I 510
hkl 0 1 -4, 30.7 deg, I 936
hkl 0 2 2, 32.2 deg, I 1000

Structural model:
Cell lengths 6.790, 7.589, 11.768 Å; angles 104.41, 91.82, 94.02 degrees
Space group P-1 (No. 2)
Inequivalent atoms, fractional coordinates:
Ca1 0.140 0.281 0.442 [2 per cell]
Ca2 0.299 0.738 0.022 [2 per cell]
Fe1 0.060 0.094 0.145 [2 per cell]
Fe2 0.186 0.546 0.735 [2 per cell]
Si1 0.107 0.826 0.336 [2 per cell]
Si2 0.211 0.306 0.946 [2 per cell]
Si3 0.309 0.488 0.215 [2 per cell]
Si4 0.341 0.786 0.554 [2 per cell]
Si5 0.425 0.960 0.814 [2 per cell]
H1 0.478 0.386 0.595 [2 per cell]
O1 0.027 0.179 0.976 [2 per cell]
O2 0.061 0.010 0.300 [2 per cell]
O3 0.081 0.305 0.642 [2 per cell]
O4 0.124 0.372 0.256 [2 per cell]
O5 0.162 0.468 0.885 [2 per cell]
O6 0.183 0.629 0.581 [2 per cell]
O7 0.228 0.891 0.467 [2 per cell]
O8 0.248 0.816 0.840 [2 per cell]
O9 0.249 0.703 0.236 [2 per cell]
O10 0.338 0.426 0.070 [2 per cell]
O11 0.363 0.046 0.121 [2 per cell]
O12 0.373 0.176 0.873 [2 per cell]
O13 0.433 0.933 0.672 [2 per cell]
O14 0.465 0.303 0.511 [2 per cell]
O15 0.480 0.517 0.719 [2 per cell]

---

4.
Diffraction record for CaPrHfFeO6. The PXRD pattern is theoretical, not measured: it uses a GGA+U-relaxed structure and Cu Kα, 1.54184 Å.
Intensities are scaled so that the largest is 1000.

Top 6 peaks for 10° ≤ 2θ ≤ 90°, sorted by position:
hkl 1 1 1, 19.1 deg, I 337
hkl 2 2 0, 31.5 deg, I 1000
hkl 3 1 1, 37.1 deg, I 206
hkl 4 0 0, 45.1 deg, I 322
hkl 4 2 2, 56.1 deg, I 393
hkl 4 4 0, 65.8 deg, I 193

Structural model:
Cell lengths 8.033, 8.033, 8.033 Å; angles 90.00, 90.00, 90.00 degrees
Space group F-43m (No. 216)
Inequivalent atoms, fractional coordinates:
Ca1 0.000 0.000 0.000 [4 per cell]
Pr1 0.000 0.000 0.500 [4 per cell]
Hf1 0.250 0.250 0.250 [4 per cell]
Fe1 0.250 0.250 0.750 [4 per cell]
O1 0.004 0.250 0.750 [24 per cell]

---

5.
Diffraction record for CaHoFe2O6. The PXRD pattern is theoretical, not measured: it uses a GGA+U-relaxed structure and Cu Kα, 1.54184 Å.
Intensities are scaled so that the largest is 1000.

Top 6 peaks for 10° ≤ 2θ ≤ 90°, sorted by position:
hkl 1 1 0, 19.7 deg, I 278
hkl 1 0 1, 20.3 deg, I 334
hkl 2 1 1, 33.0 deg, I 1000
hkl 0 0 2, 33.6 deg, I 247
hkl 0 2 2, 47.2 deg, I 224
hkl 2 1 3, 59.7 deg, I 230

Structural model:
Cell lengths 7.638, 5.561, 5.336 Å; angles 90.00, 90.00, 90.00 degrees
Space group Pmn2_1 (No. 31)
Inequivalent atoms, fractional coordinates:
Ca1 0.000 0.198 0.000 [2 per cell]
Ho1 0.000 0.682 0.529 [2 per cell]
Fe1 0.250 0.244 0.512 [4 per cell]
O1 0.000 0.282 0.427 [2 per cell]
O2 0.000 0.776 0.119 [2 per cell]
O3 0.197 0.943 0.705 [4 per cell]
O4 0.202 0.459 0.800 [4 per cell]

---

6.
Diffraction record for Ca2FeIrO6. The PXRD pattern is theoretical, not measured: it uses a GGA+U-relaxed structure and Cu Kα, 1.54184 Å.
Intensities are scaled so that the largest is 1000.

Top 6 peaks for 10° ≤ 2θ ≤ 90°, sorted by position:
hkl 1 1 -1, 19.6 deg, I 337
hkl 0 0 2, 20.0 deg, I 318
hkl 1 1 1, 22.9 deg, I 747
hkl 0 2 0, 32.0 deg, I 251
hkl 3 1 -1, 32.6 deg, I 1000
hkl 2 2 2, 46.7 deg, I 278

Structural model:
Cell lengths 9.458, 5.586, 9.466 Å; angles 90.00, 110.06, 90.00 degrees
Space group P2_1/c (No. 14)
Inequivalent atoms, fractional coordinates:
Ca1 0.118 0.054 0.369 [4 per cell]
Ca2 0.382 0.556 0.631 [4 per cell]
Fe1 0.000 0.000 0.000 [2 per cell]
Fe2 0.500 0.000 0.500 [2 per cell]
Ir1 0.250 0.000 0.751 [4 per cell]
O1 0.080 0.203 0.625 [4 per cell]
O2 0.127 0.709 0.674 [4 per cell]
O3 0.171 0.025 0.919 [4 per cell]
O4 0.328 0.528 0.079 [4 per cell]
O5 0.373 0.205 0.324 [4 per cell]
O6 0.423 0.700 0.375 [4 per cell]

---

7.
Diffraction record for KCaLaFeO6. The PXRD pattern is theoretical, not measured: it uses a GGA+U-relaxed structure and Cu Kα, 1.54184 Å.
Intensities are scaled so that the largest is 1000.

Top 6 peaks for 10° ≤ 2θ ≤ 90°, sorted by position:
hkl 1 1 1, 18.9 deg, I 363
hkl 2 2 0, 31.1 deg, I 1000
hkl 3 1 1, 36.6 deg, I 197
hkl 4 0 0, 44.6 deg, I 393
hkl 4 2 2, 55.3 deg, I 365
hkl 4 4 0, 64.9 deg, I 220

Structural model:
Cell lengths 8.132, 8.132, 8.132 Å; angles 90.00, 90.00, 90.00 degrees
Space group F-43m (No. 216)
Inequivalent atoms, fractional coordinates:
K1 0.000 0.000 0.000 [4 per cell]
Ca1 0.250 0.250 0.250 [4 per cell]
La1 0.000 0.000 0.500 [4 per cell]
Fe1 0.250 0.250 0.750 [4 per cell]
O1 0.022 0.250 0.750 [24 per cell]

---

8.
Diffraction record for KCaSmFeO6. The PXRD pattern is theoretical, not measured: it uses a GGA+U-relaxed structure and Cu Kα, 1.54184 Å.
Intensities are scaled so that the largest is 1000.

Top 6 peaks for 10° ≤ 2θ ≤ 90°, sorted by position:
hkl 2 0 0, 21.6 deg, I 461
hkl 2 2 0, 30.7 deg, I 1000
hkl 4 0 0, 44.0 deg, I 382
hkl 4 2 2, 54.6 deg, I 369
hkl 4 4 0, 63.9 deg, I 216
hkl 6 4 2, 88.9 deg, I 199

Structural model:
Cell lengths 8.237, 8.237, 8.237 Å; angles 90.00, 90.00, 90.00 degrees
Space group F-43m (No. 216)
Inequivalent atoms, fractional coordinates:
K1 0.000 0.000 0.000 [4 per cell]
Ca1 0.000 0.000 0.500 [4 per cell]
Sm1 0.250 0.250 0.750 [4 per cell]
Fe1 0.250 0.250 0.250 [4 per cell]
O1 0.024 0.250 0.250 [24 per cell]